Calculated powder diffraction line list of TmAlH6 for Cu Kα (weighted mean of Kα1 and Kα2), from a GGA-PBE-relaxed structure.
Lines closer than 0.1° are merged.

Peak list (12 most intense, 10 to 90 degrees two-theta, sorted by position)
Position (°2θ)  intensity
21.98  55
24.05  88
25.46  76
27.62  31
29.72  100
35.65  63
41.41  21
43.11  37
43.63  19
44.03  19
47.33  31
49.24  26

Atomic structure:
a b c (Å): 4.2877 4.3605 7.4184
angles (deg): 90.00 109.40 90.00
Sites, in units of the cell vectors:
Tm: 0.0000 0.0000 0.0000
Tm: 0.0000 0.5000 0.5000
Al: 0.5000 0.0000 0.5000
Al: 0.5000 0.5000 0.0000
H: 0.1811 0.1803 0.3044
H: 0.1811 0.3197 0.8044
H: 0.2161 0.5651 0.1005
H: 0.2161 0.9349 0.6005
H: 0.4337 0.6503 0.3893
H: 0.4337 0.8497 0.8893
H: 0.5663 0.1503 0.1107
H: 0.5663 0.3497 0.6107
H: 0.7839 0.0651 0.3995
H: 0.7839 0.4349 0.8995
H: 0.8189 0.6803 0.1956
H: 0.8189 0.8197 0.6956

=====

Calculated powder diffraction line list of AlV3H2 for Cu Kα (weighted mean of Kα1 and Kα2), from a GGA-PBE-relaxed structure.
Lines closer than 0.1° are merged.

Peak list (12 most intense, 10 to 90 degrees two-theta, sorted by position)
Position (°2θ)  intensity
22.83  8
32.43  3
32.57  3
39.91  33
40.15  100
46.63  66
67.91  19
68.23  19
81.77  10
82.08  21
82.23  10
86.70  9

Atomic structure:
a b c (Å): 5.5213 5.5213 5.5213
angles (deg): 59.72 59.72 59.72
Sites, in units of the cell vectors:
Al: 0.2416 0.2416 0.2416
Al: 0.7584 0.7584 0.7584
V: 0.2544 0.7451 0.7451
V: 0.2549 0.2549 0.7456
V: 0.2549 0.7456 0.2549
V: 0.7451 0.2544 0.7451
V: 0.7451 0.7451 0.2544
V: 0.7456 0.2549 0.2549
H: 0.0000 0.0000 0.0000
H: 0.0000 0.5000 0.5000
H: 0.5000 0.0000 0.5000
H: 0.5000 0.5000 0.0000

=====

Calculated powder diffraction line list of AlV8H6 for Cu Kα (weighted mean of Kα1 and Kα2), from a GGA-PBE-relaxed structure.
Lines closer than 0.1° are merged.

Peak list (12 most intense, 10 to 90 degrees two-theta, sorted by position)
Position (°2θ)  intensity
35.40  7
36.90  7
40.33  100
41.68  62
43.91  18
50.12  13
53.96  7
59.39  18
71.08  11
73.33  12
74.25  14
87.18  7

Atomic structure:
a b c (Å): 7.7464 7.7464 2.6144
angles (deg): 90.00 90.00 120.00
Sites, in units of the cell vectors:
Al: 0.0000 0.0000 0.0000
V: 0.0275 0.3404 0.6946
V: 0.3129 0.9725 0.6946
V: 0.3333 0.6667 0.3389
V: 0.3404 0.3129 0.3054
V: 0.6596 0.6871 0.6946
V: 0.6667 0.3333 0.6611
V: 0.6871 0.0275 0.3054
V: 0.9725 0.6596 0.3054
H: 0.1637 0.6883 0.7905
H: 0.3117 0.4754 0.7905
H: 0.4754 0.1637 0.2095
H: 0.5246 0.8363 0.7905
H: 0.6883 0.5246 0.2095
H: 0.8363 0.3117 0.2095

=====

Calculated powder diffraction line list of Al4V12H for Cu Kα (weighted mean of Kα1 and Kα2), from a GGA-PBE-relaxed structure.
Lines closer than 0.1° are merged.

Peak list (10 most intense, 10 to 90 degrees two-theta, sorted by position)
Position (°2θ)  intensity
23.22  6
33.07  5
40.80  100
47.46  47
53.48  2
59.06  1
69.38  27
74.27  1
83.73  31
88.39  9

Atomic structure:
a b c (Å): 6.6355 6.6355 6.6355
angles (deg): 109.47 109.47 109.47
Sites, in units of the cell vectors:
Al: 0.0000 0.0000 0.5000
Al: 0.0000 0.5000 0.0000
Al: 0.5000 0.0000 0.0000
Al: 0.5000 0.5000 0.5000
V: 0.0000 0.2550 0.2550
V: 0.0000 0.7450 0.7450
V: 0.2500 0.5000 0.7500
V: 0.2500 0.7500 0.5000
V: 0.2550 0.0000 0.2550
V: 0.2550 0.2550 0.0000
V: 0.5000 0.2500 0.7500
V: 0.5000 0.7500 0.2500
V: 0.7450 0.0000 0.7450
V: 0.7450 0.7450 0.0000
V: 0.7500 0.2500 0.5000
V: 0.7500 0.5000 0.2500
H: 0.0000 0.0000 0.0000

=====

Calculated powder diffraction line list of Al5V12H2 for Cu Kα (weighted mean of Kα1 and Kα2), from a GGA-PBE-relaxed structure.
Lines closer than 0.1° are merged.

Peak list (12 most intense, 10 to 90 degrees two-theta, sorted by position)
Position (°2θ)  intensity
26.02  15
31.94  14
37.88  15
38.46  98
40.92  89
42.16  100
53.51  16
57.49  13
64.68  12
70.37  20
72.95  14
77.83  15

Atomic structure:
a b c (Å): 7.4325 7.4325 7.4325
angles (deg): 128.89 125.12 78.28
Sites, in units of the cell vectors:
Al: 0.0000 0.0000 0.0000
Al: 0.0152 0.2347 0.7805
Al: 0.4542 0.2347 0.2195
Al: 0.5458 0.7653 0.7805
Al: 0.9848 0.7653 0.2195
V: 0.1286 0.4375 0.3089
V: 0.1286 0.8196 0.6911
V: 0.2628 0.5000 0.7628
V: 0.3352 0.0000 0.3352
V: 0.3601 0.1033 0.7432
V: 0.3601 0.6169 0.2568
V: 0.6399 0.3831 0.7432
V: 0.6399 0.8967 0.2568
V: 0.6648 0.0000 0.6648
V: 0.7372 0.5000 0.2372
V: 0.8714 0.1804 0.3089
V: 0.8714 0.5625 0.6911
H: 0.5000 0.3547 0.8547
H: 0.5000 0.6453 0.1453

=====

Calculated powder diffraction line list of AlV2H for Cu Kα (weighted mean of Kα1 and Kα2), from a GGA-PBE-relaxed structure.
Lines closer than 0.1° are merged.

Peak list (12 most intense, 10 to 90 degrees two-theta, sorted by position)
Position (°2θ)  intensity
20.74  14
29.50  5
39.26  31
39.47  31
42.20  100
56.89  20
61.21  6
65.36  6
73.18  16
73.46  17
78.98  6
79.12  6

Atomic structure:
a b c (Å): 4.8592 4.8592 4.5659
angles (deg): 90.00 90.00 123.63
Sites, in units of the cell vectors:
Al: 0.0000 0.5000 0.0000
Al: 0.5000 0.0000 0.5000
V: 0.1604 0.3069 0.5000
V: 0.3069 0.1604 0.0000
V: 0.6931 0.8396 0.0000
V: 0.8396 0.6931 0.5000
H: 0.5000 0.5000 0.2500
H: 0.5000 0.5000 0.7500